No. 1
# PaGeP2Ru5
Calculated powder X-ray diffraction pattern, Cu Ka. Input: a cell relaxed with GGA-PBE.

Structural model:
a = 4.0814 Å, b = 4.0814 Å, c = 8.1839 Å
α = 90.00°, β = 90.00°, γ = 90.00°
Fractional positions:
1 Pa 0.0000 0.0000 0.0000
2 Ge 0.0000 0.0000 0.5000
3 P 0.5000 0.5000 0.1422
4 P 0.5000 0.5000 0.8578
5 Ru 0.0000 0.5000 0.2801
6 Ru 0.0000 0.5000 0.7199
7 Ru 0.5000 0.0000 0.2801
8 Ru 0.5000 0.0000 0.7199
9 Ru 0.5000 0.5000 0.5000

Largest 10 diffraction maxima, low angle first, 2θ = 10–80°:
2θ = 24.37°, d 3.652, I = 24; 2θ = 30.95°, d 2.890, I = 13; 2θ = 32.88°, d 2.724, I = 9; 2θ = 38.16°, d 2.358, I = 100; 2θ = 39.74°, d 2.268, I = 14; 2θ = 44.27°, d 2.046, I = 12; 2θ = 44.39°, d 2.041, I = 42; 2θ = 61.06°, d 1.518, I = 11; 2θ = 64.54°, d 1.444, I = 28; 2θ = 77.56°, d 1.231, I = 25

***

No. 2
# AcTlAsO4
Calculated powder X-ray diffraction pattern, Cu Ka. Input: a cell relaxed with GGA-PBE.

Structural model:
a = 6.6407 Å, b = 6.6407 Å, c = 6.6407 Å
α = 60.00°, β = 60.00°, γ = 60.00°
Fractional positions:
1 Ac 0.0000 0.0000 0.0000
2 Tl 0.2500 0.2500 0.2500
3 As 0.7500 0.7500 0.7500
4 O 0.4330 0.8557 0.8557
5 O 0.8557 0.4330 0.8557
6 O 0.8557 0.8557 0.4330
7 O 0.8557 0.8557 0.8557

Largest 10 diffraction maxima, low angle first, 2θ = 10–80°:
2θ = 16.35°, d 5.422, I = 54; 2θ = 26.85°, d 3.320, I = 100; 2θ = 31.60°, d 2.832, I = 30; 2θ = 38.34°, d 2.348, I = 15; 2θ = 41.93°, d 2.155, I = 19; 2θ = 47.42°, d 1.917, I = 42; 2θ = 50.50°, d 1.807, I = 13; 2θ = 55.34°, d 1.660, I = 16; 2θ = 62.55°, d 1.485, I = 18; 2θ = 75.80°, d 1.255, I = 22

***

No. 3
# Na2AcSeO6
Calculated powder X-ray diffraction pattern, Cu Ka. Input: a cell relaxed with GGA-PBE.

Structural model:
a = 5.7826 Å, b = 5.7826 Å, c = 5.7826 Å
α = 61.22°, β = 61.22°, γ = 61.22°
Fractional positions:
1 Na 0.2295 0.2295 0.2295
2 Na 0.7705 0.7705 0.7705
3 Ac 0.5000 0.5000 0.5000
4 Se 0.0000 0.0000 0.0000
5 O 0.1127 0.8055 0.3067
6 O 0.1945 0.6933 0.8873
7 O 0.3067 0.1127 0.8055
8 O 0.6933 0.8873 0.1945
9 O 0.8055 0.3067 0.1127
10 O 0.8873 0.1945 0.6933

Largest 10 diffraction maxima, low angle first, 2θ = 10–80°:
2θ = 18.51°, d 4.793, I = 19; 2θ = 21.54°, d 4.125, I = 100; 2θ = 30.35°, d 2.945, I = 54; 2θ = 30.94°, d 2.890, I = 55; 2θ = 36.04°, d 2.492, I = 22; 2θ = 43.89°, d 2.063, I = 29; 2θ = 49.01°, d 1.859, I = 19; 2θ = 49.79°, d 1.831, I = 24; 2θ = 53.93°, d 1.700, I = 15; 2θ = 54.30°, d 1.689, I = 25

***

No. 4
# Hg2BiRh
Calculated powder X-ray diffraction pattern, Cu Ka. Input: a cell relaxed with GGA-PBE.

Structural model:
a = 3.4872 Å, b = 3.4910 Å, c = 9.7700 Å
α = 88.80°, β = 88.73°, γ = 60.53°
Fractional positions:
1 Hg 0.0000 0.0000 0.0000
2 Hg 0.0023 0.0048 0.3081
3 Bi 0.3477 0.3435 0.6138
4 Rh 0.6742 0.6720 0.7969

Largest 10 diffraction maxima, low angle first, 2θ = 10–80°:
2θ = 27.39°, d 3.256, I = 58; 2θ = 29.40°, d 3.038, I = 29; 2θ = 30.72°, d 2.911, I = 30; 2θ = 30.88°, d 2.896, I = 100; 2θ = 30.97°, d 2.888, I = 52; 2θ = 34.59°, d 2.593, I = 41; 2θ = 34.98°, d 2.565, I = 57; 2θ = 40.35°, d 2.235, I = 76; 2θ = 41.34°, d 2.184, I = 35; 2θ = 52.47°, d 1.744, I = 49